Li3Fe10O7F9: simulated powder diffraction line list (Cu Kα X-rays), based on a cell relaxed with GGA+U.
Neutral-atom scattering factors, no anomalous dispersion.

Principal peaks in the range 10° ≤ 2θ ≤ 90°, by angle:
| Position (°2θ) | I (rel.) |
| --- | --- |
| 17.58 | 59 |
| 35.52 | 35 |
| 35.72 | 25 |
| 40.27 | 100 |
| 41.05 | 95 |
| 42.25 | 83 |
| 58.49 | 29 |
| 59.24 | 29 |
| 59.68 | 23 |
| 59.89 | 26 |
| 60.02 | 25 |
| 60.72 | 29 |

Crystal structure
```
data_Li3Fe10O7F9
_space_group_name_H-M_alt 'P 1'
_space_group_IT_number 1
_space_group_name_Hall 'P 1'
_cell_length_a 6.103
_cell_length_b 6.205
_cell_length_c 10.616
_cell_angle_alpha 75.00
_cell_angle_beta 74.57
_cell_angle_gamma 61.72
loop_
_atom_site_label
_atom_site_fract_x
_atom_site_fract_y
_atom_site_fract_z
_atom_site_occupancy
Li1 0.000 0.000 0.000 1
Li2 0.210 0.133 0.421 1
Li3 0.421 0.260 0.856 1
Fe1 0.205 0.638 0.425 1
Fe2 0.462 0.382 0.180 1
Fe3 0.462 0.863 0.675 1
Fe4 0.474 0.892 0.182 1
Fe5 0.697 0.131 0.415 1
Fe6 0.707 0.654 0.415 1
Fe7 0.708 0.635 0.928 1
Fe8 0.948 0.385 0.676 1
Fe9 0.957 0.407 0.174 1
Fe10 0.965 0.866 0.678 1
O1 0.090 0.489 0.307 1
O2 0.311 0.787 0.548 1
O3 0.559 0.023 0.307 1
O4 0.575 0.513 0.310 1
O5 0.623 0.937 0.793 1
O6 0.799 0.329 0.058 1
O7 0.846 0.740 0.546 1
F1 0.082 0.020 0.306 1
F2 0.082 0.027 0.795 1
F3 0.095 0.487 0.795 1
F4 0.309 0.258 0.553 1
F5 0.332 0.785 0.065 1
F6 0.337 0.247 0.054 1
F7 0.601 0.474 0.793 1
F8 0.834 0.779 0.051 1
F9 0.837 0.245 0.542 1
```

=====

LiFe6O4F8: simulated powder diffraction line list (Cu Kα X-rays), based on a cell relaxed with GGA+U.
Neutral-atom scattering factors, no anomalous dispersion.

Principal peaks in the range 10° ≤ 2θ ≤ 90°, by angle:
| Position (°2θ) | I (rel.) |
| --- | --- |
| 25.41 | 100 |
| 26.38 | 96 |
| 33.86 | 48 |
| 34.24 | 45 |
| 38.55 | 16 |
| 50.36 | 15 |
| 50.51 | 16 |
| 50.64 | 15 |
| 50.80 | 16 |
| 52.18 | 35 |
| 59.00 | 15 |
| 65.27 | 22 |

Crystal structure
```
data_LiFe6O4F8
_space_group_name_H-M_alt 'P 1'
_space_group_IT_number 1
_space_group_name_Hall 'P 1'
_cell_length_a 5.744
_cell_length_b 5.834
_cell_length_c 7.678
_cell_angle_alpha 70.77
_cell_angle_beta 70.42
_cell_angle_gamma 71.43
loop_
_atom_site_label
_atom_site_fract_x
_atom_site_fract_y
_atom_site_fract_z
_atom_site_occupancy
Li1 0.000 0.000 0.000 1
Fe1 0.010 0.374 0.807 1
Fe2 0.326 0.648 0.006 1
Fe3 0.340 0.674 0.490 1
Fe4 0.601 0.018 0.182 1
Fe5 0.621 0.060 0.659 1
Fe6 0.976 0.368 0.319 1
O1 0.299 0.041 0.834 1
O2 0.320 0.320 0.160 1
O3 0.636 0.380 0.486 1
O4 0.952 0.708 0.156 1
F1 0.015 0.999 0.490 1
F2 0.100 0.461 0.516 1
F3 0.244 0.597 0.785 1
F4 0.409 0.762 0.197 1
F5 0.556 0.910 0.477 1
F6 0.691 0.662 0.828 1
F7 0.758 0.123 0.854 1
F8 0.864 0.255 0.120 1
```